Simulated PXRD pattern
Compound: Co2PClO4
Radiation: a wavelength of 1.5418 Å
Structure: a DFT-relaxed cell (GGA+U, Alexandria)
Peak positions follow from Bragg's law for the DFT cell and can differ from measured ones.

Structural model:
```
data_Co2PClO4
_chemical_formula_sum 'Co16 P8 Cl8 O32'
_cell_length_a 13.6480
_cell_length_b 9.2168
_cell_length_c 9.3229
_cell_angle_alpha 90.00
_cell_angle_beta 132.91
_cell_angle_gamma 90.00
_space_group_name_H-M_alt 'C 1 2/c 1'
_space_group_IT_number 15
loop_
_space_group_symop_operation_xyz
'x,y,z'
'-x,-y,-z'
'-x,y,-z+1/2'
'x,-y,z+1/2'
'x+1/2,y+1/2,z'
'-x+1/2,-y+1/2,-z'
'-x+1/2,y+1/2,-z+1/2'
'x+1/2,-y+1/2,z+1/2'
loop_
_atom_site_label
_atom_site_type_symbol
_atom_site_fract_x
_atom_site_fract_y
_atom_site_fract_z
_atom_site_occupancy
Co1 Co 0.0000 0.0000 0.0000 1
Co2 Co 0.0000 0.2714 0.2500 1
Co3 Co 0.1828 0.2571 0.1756 1
P1 P 0.2337 0.0075 0.4858 1
Cl1 Cl 0.0734 0.2616 0.5731 1
O1 O 0.1257 0.0959 0.2880 1
O2 O 0.1527 0.0719 0.0251 1
O3 O 0.1676 0.3829 0.3436 1
O4 O 0.1878 0.4049 0.0300 1
```

Most intense lines, 5 to 70 degrees two-theta, low angle first:
2θ (°)	Rel. int.
13.07	43.1
13.51	42.0
22.35	50.1
23.16	16.9
27.21	36.1
30.41	29.8
32.67	100.0
38.57	59.5
38.63	26.3
39.09	22.5
55.83	18.1
56.13	30.4